# Tl2Ag2SbSe4
Computed powder diffractogram, Cu Kα. Input: a crystal structure in Alexandria, relaxed with PBE.
Peak positions follow from Bragg's law for the DFT cell and can differ from measured ones.

Atomic structure:
Unit cell a=15.9876 b=4.1278 c=7.9035 alpha=90.00 beta=112.70 gamma=90.00
Space group C2/m (No. 12)
Symmetry-distinct sites (fractional):
Tl: 0.1344 0.0000 0.0657 x4
Ag: 0.1855 0.5000 0.4781 x4
Sb: 0.0000 0.0000 0.5000 x2
Se: 0.0101 0.5000 0.2533 x4
Se: 0.1942 0.0000 0.7036 x4

The 12 most intense peaks (2θ from 5° to 70°), by intensity:
2theta, I/Imax
31.53, 100
33.58, 97
27.83, 57
43.87, 50
22.41, 48
32.56, 45
46.19, 43
31.12, 39
35.53, 34
36.56, 31
37.86, 30
26.95, 29